No. 1
Diffraction record for TlBi4Pb4. The powder diffraction line list is simulated, not measured: it uses a cell relaxed with PBE and a wavelength of 1.5418 Å.

Atomic structure:
Cell: 6.877 6.877 13.816 Å, 90.00 90.00 90.00°
Space group P4_2/nmc (No. 137, origin choice 2)
Asymmetric unit:
Tl 0.250 0.750 0.250 [2 per cell]
Bi 0.021 0.750 0.507 [8 per cell]
Pb 0.016 0.250 0.175 [8 per cell]

Top 10 peaks for 10 to 90 degrees two-theta, low angle first:
2theta  I_rel
18.2  211
26.7  126
28.9  146
29.8  361
32.5  1000
37.0  284
39.2  149
53.3  153
54.9  323
63.8  268

***

No. 2
Diffraction record for TlBi2Pb2. The powder diffraction line list is simulated, not measured: it uses a cell relaxed with PBE and a wavelength of 1.5418 Å.

Atomic structure:
Cell: 9.540 5.847 6.235 Å, 90.00 110.82 90.00°
Space group C2/m (No. 12)
Asymmetric unit:
Tl 0.000 0.000 0.000 [2 per cell]
Bi 0.227 0.000 0.645 [4 per cell]
Pb 0.103 0.500 0.785 [4 per cell]

Top 10 peaks for 10 to 90 degrees two-theta, low angle first:
2theta  I_rel
29.2  571
30.6  597
32.4  1000
32.6  937
42.8  416
53.7  189
54.1  158
55.5  224
55.6  212
59.9  174

***

No. 3
Diffraction record for Tl3Bi2Pb6. The powder diffraction line list is simulated, not measured: it uses a cell relaxed with PBE and a wavelength of 1.5418 Å.

Atomic structure:
Cell: 11.563 11.563 11.563 Å, 90.00 90.00 90.00°
Space group Im-3m (No. 229)
Asymmetric unit:
Tl 0.000 0.000 0.253 [12 per cell]
Bi 0.250 0.250 0.250 [8 per cell]
Pb 0.000 0.354 0.354 [24 per cell]

Top 10 peaks for 10 to 90 degrees two-theta, low angle first:
2theta  I_rel
10.8  99
26.7  328
28.9  392
30.9  100
32.9  1000
34.7  200
45.8  126
52.5  238
55.0  200
65.6  206

***

No. 4
Diffraction record for Tl4Bi2Pb5. The powder diffraction line list is simulated, not measured: it uses a cell relaxed with PBE and a wavelength of 1.5418 Å.

Atomic structure:
Cell: 3.5290 3.5290 97.1626 Å, 90.00 90.00 120.00°
Space group R-3m (No. 166, hexagonal axes)
Asymmetric unit:
Tl 0.0000 0.0000 0.0893 [6 per cell]
Tl 0.0000 0.0000 0.1818 [6 per cell]
Bi 0.0000 0.0000 0.3636 [6 per cell]
Pb 0.0000 0.0000 0.0000 [3 per cell]
Pb 0.0000 0.0000 0.1225 [6 per cell]
Pb 0.0000 0.0000 0.2730 [6 per cell]

Top 10 peaks for 10 to 90 degrees two-theta, low angle first:
2theta  I_rel
29.2  255
30.4  672
31.0  1000
34.7  196
35.7  768
51.0  219
51.8  484
60.5  217
61.2  572
86.0  213